Entry 1:
For SrMg6Tl6, a cell relaxed with PBE gives the computed powder diffractogram in this record (λ = 1.5418 Å (Cu Kα)).
Intensities are scaled so that the largest is 100.

Most intense lines, 10° ≤ 2θ ≤ 90°, in order of falling intensity:
2θ = 28.48°, I = 100
2θ = 33.75°, I = 52
2θ = 24.19°, I = 33
2θ = 63.15°, I = 24
2θ = 37.71°, I = 24
2θ = 39.67°, I = 23

Cell and atoms:
```
13
Lattice="-3.135 5.003 5.426 3.135 -5.003 5.426 3.135 5.003 -5.426" Properties=species:S:1:pos:R:3 pbc="T T T"
Sr 0.000 0.000 0.000
Mg 1.568 2.502 -2.713
Mg 1.568 -2.502 2.713
Mg 3.135 2.422 0.000
Mg -1.568 2.502 2.713
Mg 1.568 2.502 2.713
Mg 0.000 2.581 5.426
Tl 3.135 0.000 1.889
Tl 0.000 0.000 3.705
Tl 0.000 3.437 0.000
Tl 0.000 6.569 0.000
Tl 0.000 0.000 7.146
Tl 0.000 5.003 3.537
```



Entry 2:
For Y2Th2Ga4Ni, a cell relaxed with PBE gives the computed powder diffractogram in this record (λ = 1.5418 Å (Cu Kα)).
Intensities are scaled so that the largest is 100.

Most intense lines, 10° ≤ 2θ ≤ 90°, in order of falling intensity:
2θ = 33.20°, I = 100
2θ = 36.53°, I = 57
2θ = 27.64°, I = 34
2θ = 63.65°, I = 30
2θ = 25.61°, I = 24
2θ = 57.07°, I = 22

Cell and atoms:
```
9
Lattice="-3.478 3.478 4.277 3.478 -3.478 4.277 3.478 3.478 -4.277" Properties=species:S:1:pos:R:3 pbc="T T T"
Y 0.000 0.000 1.656
Y 0.000 0.000 6.898
Th 3.478 0.000 2.138
Th 0.000 3.478 2.138
Ga 1.814 1.814 0.000
Ga 1.665 -1.665 4.277
Ga -1.665 1.665 4.277
Ga 1.665 1.665 4.277
Ni 0.000 0.000 4.277
```



Entry 3:
For Sc2Pa3, a cell relaxed with PBE gives the computed powder diffractogram in this record (λ = 1.5418 Å (Cu Kα)).
Intensities are scaled so that the largest is 100.

Most intense lines, 10° ≤ 2θ ≤ 90°, in order of falling intensity:
2θ = 32.61°, I = 100
2θ = 34.17°, I = 75
2θ = 60.20°, I = 35
2θ = 47.96°, I = 34
2θ = 19.53°, I = 30
2θ = 64.73°, I = 19

Cell and atoms:
```
10
Lattice="4.545 2.624 3.446 -4.545 2.624 3.446 0.000 -5.248 3.446" Properties=species:S:1:pos:R:3 pbc="T T T"
Sc 0.000 0.000 1.316
Sc 0.000 0.000 3.853
Sc 0.000 0.000 6.484
Sc 0.000 0.000 9.021
Pa -2.989 0.070 4.307
Pa -1.555 -2.554 6.030
Pa 1.434 -2.624 4.307
Pa -1.434 2.624 6.030
Pa 1.555 2.554 4.307
Pa 2.989 -0.070 6.030
```



Entry 4:
For Zn3Ni4B2Ir3, a cell relaxed with PBE gives the computed powder diffractogram in this record (λ = 1.5418 Å (Cu Kα)).
Intensities are scaled so that the largest is 100.

Most intense lines, 10° ≤ 2θ ≤ 90°, in order of falling intensity:
2θ = 41.94°, I = 100
2θ = 36.82°, I = 80
2θ = 44.98°, I = 30
2θ = 23.61°, I = 29
2θ = 44.24°, I = 26
2θ = 47.44°, I = 26

Cell and atoms:
```
12
Lattice="-2.015 10.237 1.917 2.015 -10.237 1.917 2.015 10.237 -1.917" Properties=species:S:1:pos:R:3 pbc="T T T"
Zn 0.000 0.000 0.000
Zn 2.015 -6.497 1.915
Zn 2.015 6.497 1.915
Ni 2.015 1.921 0.001
Ni 2.015 -4.076 1.907
Ni 2.015 4.076 1.907
Ni 0.000 8.315 1.918
B 0.000 8.076 0.002
B 0.000 12.397 0.002
Ir 2.015 8.260 -0.001
Ir 0.000 10.237 0.002
Ir 0.000 1.977 1.916
```